CsBaSiHO4: calculated X-ray powder pattern (copper Kα), based on a GGA-PBE-relaxed structure.

Most intense lines, 10 to 80 degrees two-theta, low angle first:
2θ (°)	d [Å]	Rel. int.	index
19.60	4.530	33	0 1 1
27.02	3.300	100	1 2 0
27.30	3.267	85	1 2 -1
28.41	3.142	53	1 0 1
29.19	3.060	92	2 0 -1
39.80	2.265	58	0 2 2
43.40	2.085	24	0 4 0
49.46	1.843	21	2 2 1
50.77	1.798	42	2 2 -3
53.15	1.723	32	2 4 -1

Crystal structure
a = 6.121 Å, b = 8.343 Å, c = 6.124 Å
α = 90.00°, β = 118.25°, γ = 90.00°
Space group P2_1 (No. 4)
Inequivalent atoms, fractional coordinates:
1 Cs 0.136 0.000 0.277 x2
2 Ba 0.483 0.253 0.990 x2
3 Si 0.192 0.516 0.384 x2
4 H 0.017 0.283 0.461 x2
5 O 0.009 0.164 0.697 x2
6 O 0.009 0.344 0.315 x2
7 O 0.346 0.507 0.226 x2
8 O 0.374 0.511 0.685 x2

Al2GaP3O12: calculated X-ray powder pattern (copper Kα), based on a GGA-PBE-relaxed structure.

Most intense lines, 10 to 80 degrees two-theta, low angle first:
2θ (°)	d [Å]	Rel. int.	index
20.49	4.334	28	1 1 0
26.03	3.424	100	2 0 2
26.08	3.417	20	1 1 2
35.79	2.509	9	3 1 0
38.36	2.346	5	2 0 -4
38.47	2.340	8	1 1 4
41.69	2.167	7	2 2 0
48.98	1.860	9	0 2 4
66.08	1.414	7	4 0 -6
66.35	1.409	7	2 2 6

Crystal structure
a = 8.702 Å, b = 4.997 Å, c = 11.132 Å
α = 90.00°, β = 90.15°, γ = 90.00°
Space group C2 (No. 5)
Inequivalent atoms, fractional coordinates:
1 Al 0.232 0.000 0.335 x4
2 Ga 0.000 0.301 0.000 x2
3 P 0.000 0.302 0.500 x2
4 P 0.232 0.001 0.831 x4
5 O 0.062 0.124 0.398 x4
6 O 0.074 0.097 0.875 x4
7 O 0.129 0.481 0.550 x4
8 O 0.153 0.512 0.063 x4
9 O 0.208 0.681 0.272 x4
10 O 0.211 0.714 0.783 x4

Te2MoW3S6: calculated X-ray powder pattern (copper Kα), based on a GGA-PBE-relaxed structure.

Most intense lines, 10 to 80 degrees two-theta, low angle first:
2θ (°)	d [Å]	Rel. int.	index
11.87	7.453	100	0 0 5
14.26	6.211	23	0 0 6
31.55	2.835	31	1 0 0
32.38	2.765	14	1 0 3
33.81	2.651	15	1 0 5
34.77	2.580	13	0 1 6
37.11	2.423	71	1 0 8
39.94	2.257	14	1 0 10
44.96	2.016	33	0 1 13
56.18	1.637	20	1 1 0

Crystal structure
a = 3.2752 Å, b = 3.2752 Å, c = 37.2662 Å
α = 90.00°, β = 90.00°, γ = 120.00°
Space group P3m1 (No. 156)
Inequivalent atoms, fractional coordinates:
1 Te 0.0000 0.0000 0.0000 x1
2 Te 0.0000 0.0000 0.1042 x1
3 Mo 0.3333 0.6667 0.6763 x1
4 W 0.0000 0.0000 0.4884 x1
5 W 0.0000 0.0000 0.8640 x1
6 W 0.3333 0.6667 0.0521 x1
7 S 0.0000 0.0000 0.6350 x1
8 S 0.0000 0.0000 0.7176 x1
9 S 0.3333 0.6667 0.4469 x1
10 S 0.3333 0.6667 0.5298 x1
11 S 0.3333 0.6667 0.8226 x1
12 S 0.3333 0.6667 0.9055 x1

Li2CuSiO4: calculated X-ray powder pattern (copper Kα), based on a GGA-PBE-relaxed structure.

Most intense lines, 10 to 80 degrees two-theta, low angle first:
2θ (°)	d [Å]	Rel. int.	index
21.85	4.069	89	2 1 0
22.78	3.903	100	0 1 1
24.24	3.672	41	1 1 1
28.17	3.168	32	2 1 1
33.04	2.711	34	4 0 0
33.48	2.676	70	2 2 0
35.57	2.524	68	0 0 2
38.06	2.364	54	2 2 1
59.30	1.558	42	6 2 0
65.53	1.425	33	2 2 3

Crystal structure
a = 10.845 Å, b = 6.154 Å, c = 5.048 Å
α = 90.00°, β = 90.00°, γ = 90.00°
Space group Pna2_1 (No. 33)
Inequivalent atoms, fractional coordinates:
1 Li 0.086 0.246 0.000 x4
2 Li 0.173 0.498 0.501 x4
3 Cu 0.083 0.743 0.993 x4
4 Si 0.163 0.995 0.504 x4
5 O 0.090 0.215 0.401 x4
6 O 0.093 0.772 0.399 x4
7 O 0.165 0.996 0.831 x4
8 O 0.193 0.504 0.899 x4

Cu2Bi5Pb5S14: calculated X-ray powder pattern (copper Kα), based on a GGA-PBE-relaxed structure.

Most intense lines, 10 to 80 degrees two-theta, low angle first:
2θ (°)	d [Å]	Rel. int.	index
21.74	4.088	75	0 3 3
24.07	3.698	100	0 2 5
24.22	3.675	77	1 1 2
25.13	3.544	97	0 0 6
27.99	3.188	94	1 2 3
31.05	2.881	77	1 1 5
32.76	2.734	61	1 2 5
38.25	2.353	49	1 5 2
44.67	2.029	63	2 0 0
48.14	1.890	54	1 3 9

Crystal structure
a = 4.057 Å, b = 15.007 Å, c = 21.272 Å
α = 90.00°, β = 90.00°, γ = 90.00°
Space group Pmc2_1 (No. 26)
Inequivalent atoms, fractional coordinates:
1 Cu 0.000 0.078 0.000 x2
2 Cu 0.500 0.422 0.351 x2
3 Bi 0.000 0.142 0.708 x2
4 Bi 0.000 0.216 0.334 x2
5 Bi 0.000 0.412 0.484 x2
6 Bi 0.500 0.285 0.017 x2
7 Bi 0.500 0.354 0.648 x2
8 Pb 0.000 0.109 0.155 x2
9 Pb 0.000 0.355 0.841 x2
10 Pb 0.500 0.082 0.868 x2
11 Pb 0.500 0.142 0.511 x2
12 Pb 0.500 0.385 0.195 x2
13 S 0.000 0.012 0.788 x2
14 S 0.000 0.051 0.445 x2
15 S 0.000 0.218 0.937 x2
16 S 0.000 0.276 0.566 x2
17 S 0.000 0.297 0.111 x2
18 S 0.000 0.386 0.303 x2
19 S 0.000 0.441 0.708 x2
20 S 0.500 0.061 0.641 x2
21 S 0.500 0.114 0.048 x2
22 S 0.500 0.204 0.244 x2
23 S 0.500 0.233 0.781 x2
24 S 0.500 0.288 0.418 x2
25 S 0.500 0.451 0.908 x2
26 S 0.500 0.480 0.559 x2

CaPrO3: calculated X-ray powder pattern (copper Kα), based on a GGA-PBE-relaxed structure.

Most intense lines, 10 to 80 degrees two-theta, low angle first:
2θ (°)	d [Å]	Rel. int.	index
20.22	4.392	38	1 0 1
21.04	4.223	14	0 2 0
28.23	3.161	18	2 0 0
29.33	3.045	100	1 2 1
41.11	2.196	21	2 0 2
46.62	1.948	11	2 2 2
50.67	1.802	17	3 2 1
51.93	1.761	21	1 2 3
52.09	1.756	11	2 4 0
52.71	1.737	10	0 4 2

Crystal structure
a = 6.322 Å, b = 8.446 Å, c = 6.105 Å
α = 90.00°, β = 90.00°, γ = 90.00°
Space group Pnma (No. 62)
Inequivalent atoms, fractional coordinates:
1 Ca 0.054 0.250 0.017 x4
2 Pr 0.000 0.000 0.500 x4
3 O 0.102 0.750 0.336 x4
4 O 0.199 0.595 0.803 x8